This entry pairs a crystal structure of Co2PH2CO7 with its simulated PXRD pattern. Radiation: Cu Kα X-rays. Structure: a PBE+U-relaxed structure.

Cell and atoms:
```
data_Co2PH2CO7
_cell_length_a 7.9784
_cell_length_b 4.8320
_cell_length_c 15.5452
_cell_angle_alpha 90.00
_cell_angle_beta 114.65
_cell_angle_gamma 90.00
_space_group_name_H-M_alt 'P 1 21/c 1'
_space_group_IT_number 14
_space_group_name_Hall '-P 2ybc'
loop_
_atom_site_label
_atom_site_type_symbol
_atom_site_fract_x
_atom_site_fract_y
_atom_site_fract_z
Co1 Co 0.0590 0.0304 0.3604
Co2 Co 0.3908 0.5390 0.3047
P1 P 0.1955 0.5202 0.6930
H1 H 0.1315 0.7458 0.0217
H2 H 0.2819 0.5080 0.0314
C1 C 0.4316 0.1196 0.9921
O1 O 0.0486 0.6353 0.5990
O2 O 0.1534 0.6612 0.7735
O3 O 0.1893 0.1998 0.6961
O4 O 0.1972 0.6482 0.9879
O5 O 0.3318 0.1871 0.9066
O6 O 0.3924 0.6293 0.7136
O7 O 0.4298 0.2322 0.0652
```

Main lines, low angle first (5° ≤ 2θ ≤ 70°):
h k l	2theta	d/Å	I/Imax
0 0 2	12.53	7.065	100
1 1 1	24.38	3.652	48
1 1 -3	25.59	3.481	48
2 0 -4	26.91	3.313	40
2 1 -1	29.30	3.048	47
2 1 1	33.55	2.671	48